Entry 1:
This entry pairs a crystal structure of Pr3B2SbPt9 with its computed X-ray powder pattern. Radiation: Cu Kα X-rays. Structure: a cell relaxed with GGA-PBE.

Crystal structure
```
data_Pr3B2SbPt9
_symmetry_space_group_name_H-M 'P -3 m 1'
_symmetry_Int_Tables_number 164
_symmetry_space_group_name_Hall '-P 3 2"'
_cell_length_a 5.8765
_cell_length_b 5.8765
_cell_length_c 9.4860
_cell_angle_alpha 90.00
_cell_angle_beta 90.00
_cell_angle_gamma 120.00
loop_
_atom_site_label
_atom_site_fract_x
_atom_site_fract_y
_atom_site_fract_z
Pr1 0.0000 0.0000 0.0000
Pr2 0.3333 0.6667 0.6156
B1 0.3333 0.6667 0.1429
Sb1 0.0000 0.0000 0.5000
Pt1 0.0000 0.5000 0.0000
Pt2 0.1684 0.3368 0.2789
```

Largest 6 diffraction maxima, by angle, 2θ from 10° to 90°:
- 28.22 deg, intensity 31
- 33.36 deg, intensity 17
- 36.56 deg, intensity 100
- 37.94 deg, intensity 16
- 40.22 deg, intensity 89
- 63.30 deg, intensity 28



Entry 2:
This entry pairs a crystal structure of TaV3 with its computed X-ray powder pattern. Radiation: Cu Kα X-rays. Structure: a cell relaxed with GGA-PBE.

Crystal structure
```
data_TaV3
_symmetry_space_group_name_H-M 'F m -3 m'
_symmetry_Int_Tables_number 225
_symmetry_space_group_name_Hall '-F 4 2 3'
_cell_length_a 6.1817
_cell_length_b 6.1817
_cell_length_c 6.1817
_cell_angle_alpha 90.00
_cell_angle_beta 90.00
_cell_angle_gamma 90.00
loop_
_atom_site_label
_atom_site_fract_x
_atom_site_fract_y
_atom_site_fract_z
Ta1 0.0000 0.0000 0.0000
V1 0.0000 0.0000 0.5000
V2 0.2500 0.2500 0.2500
```

Largest 6 diffraction maxima, by angle, 2θ from 10° to 90°:
- 24.95 deg, intensity 37
- 28.89 deg, intensity 20
- 41.31 deg, intensity 100
- 48.86 deg, intensity 20
- 59.85 deg, intensity 16
- 75.32 deg, intensity 32



Entry 3:
This entry pairs a crystal structure of LaMgTl with its computed X-ray powder pattern. Radiation: Cu Kα X-rays. Structure: a cell relaxed with GGA-PBE.

Crystal structure
```
data_LaMgTl
_symmetry_space_group_name_H-M 'A m m 2'
_symmetry_Int_Tables_number 38
_cell_length_a 5.0059
_cell_length_b 4.8342
_cell_length_c 14.1548
_cell_angle_alpha 90.00
_cell_angle_beta 90.00
_cell_angle_gamma 90.00
loop_
_symmetry_equiv_pos_as_xyz
'x,y,z'
'-x,-y,z'
'-x,y,z'
'x,-y,z'
'x,y+1/2,z+1/2'
'-x,-y+1/2,z+1/2'
'-x,y+1/2,z+1/2'
'x,-y+1/2,z+1/2'
loop_
_atom_site_label
_atom_site_fract_x
_atom_site_fract_y
_atom_site_fract_z
La1 0.0000 0.0000 0.0000
La2 0.5000 0.0000 0.1737
Mg1 0.5000 0.0000 0.4841
Mg2 0.5000 0.0000 0.8391
Tl1 0.0000 0.0000 0.3395
Tl2 0.0000 0.0000 0.6792
```

Largest 6 diffraction maxima, by angle, 2θ from 10° to 90°:
- 17.72 deg, intensity 24
- 26.39 deg, intensity 26
- 31.97 deg, intensity 100
- 35.88 deg, intensity 19
- 37.20 deg, intensity 17
- 62.04 deg, intensity 17